No. 1
This entry pairs a crystal structure of BC5 with its calculated PXRD pattern. Radiation: CuKα. Structure: a crystal structure in Alexandria, relaxed with PBE.
Neutral-atom scattering factors, no anomalous dispersion.

Atomic structure:
Unit cell a=2.520 b=7.825 c=3.662 alpha=90.00 beta=90.00 gamma=90.00
Fractional coordinates of all 12 atoms:
B: 0.250 0.000 0.168
B: 0.750 0.000 0.832
C: 0.250 0.181 0.380
C: 0.250 0.339 0.123
C: 0.250 0.500 0.376
C: 0.250 0.661 0.123
C: 0.250 0.819 0.380
C: 0.750 0.181 0.620
C: 0.750 0.339 0.877
C: 0.750 0.500 0.624
C: 0.750 0.661 0.877
C: 0.750 0.819 0.620

Main lines, sorted by position (10° ≤ 2θ ≤ 80°):
- 2θ = 11.31°, I 27
- 2θ = 42.55°, I 99
- 2θ = 43.60°, I 100
- 2θ = 72.47°, I 13
- 2θ = 73.53°, I 50
- 2θ = 75.44°, I 12

***

No. 2
This entry pairs a crystal structure of Sr4Si with its calculated PXRD pattern. Radiation: CuKα. Structure: a crystal structure in Alexandria, relaxed with PBE.
Neutral-atom scattering factors, no anomalous dispersion.

Atomic structure:
Unit cell a=6.221 b=6.221 c=6.221 alpha=90.00 beta=90.00 gamma=90.00
Fractional coordinates of all 5 atoms:
Sr: 0.000 0.000 0.000
Sr: 0.000 0.500 0.500
Sr: 0.500 0.000 0.500
Sr: 0.500 0.500 0.000
Si: 0.500 0.500 0.500

Main lines, sorted by position (10° ≤ 2θ ≤ 80°):
- 2θ = 24.79°, I 100
- 2θ = 28.70°, I 73
- 2θ = 41.03°, I 54
- 2θ = 48.53°, I 48
- 2θ = 65.39°, I 20
- 2θ = 67.31°, I 25

***

No. 3
This entry pairs a crystal structure of La2Bi3Rh4 with its calculated PXRD pattern. Radiation: CuKα. Structure: a crystal structure in Alexandria, relaxed with PBE.
Neutral-atom scattering factors, no anomalous dispersion.

Atomic structure:
Unit cell a=9.112 b=9.112 c=7.411 alpha=90.00 beta=90.00 gamma=138.98
Fractional coordinates of all 18 atoms:
La: 0.101 0.899 0.921
La: 0.399 0.601 0.421
La: 0.601 0.399 0.579
La: 0.899 0.101 0.079
Bi: 0.000 0.000 0.500
Bi: 0.011 0.489 0.750
Bi: 0.489 0.011 0.250
Bi: 0.500 0.500 0.000
Bi: 0.511 0.989 0.750
Bi: 0.989 0.511 0.250
Rh: 0.164 0.836 0.521
Rh: 0.175 0.325 0.750
Rh: 0.325 0.175 0.250
Rh: 0.336 0.664 0.021
Rh: 0.664 0.336 0.979
Rh: 0.675 0.825 0.750
Rh: 0.825 0.675 0.250
Rh: 0.836 0.164 0.479

Main lines, sorted by position (10° ≤ 2θ ≤ 80°):
- 2θ = 26.22°, I 32
- 2θ = 32.09°, I 60
- 2θ = 37.18°, I 100
- 2θ = 39.96°, I 43
- 2θ = 42.57°, I 29
- 2θ = 67.03°, I 33

***

No. 4
This entry pairs a crystal structure of YTl2GaS with its calculated PXRD pattern. Radiation: CuKα. Structure: a crystal structure in Alexandria, relaxed with PBE.
Neutral-atom scattering factors, no anomalous dispersion.

Atomic structure:
Unit cell a=5.165 b=5.165 c=5.730 alpha=90.00 beta=90.00 gamma=90.00
Fractional coordinates of all 5 atoms:
Y: 0.000 0.000 0.000
Tl: 0.000 0.500 0.500
Tl: 0.500 0.000 0.500
Ga: 0.000 0.000 0.500
S: 0.500 0.500 0.000

Main lines, sorted by position (10° ≤ 2θ ≤ 80°):
- 2θ = 15.46°, I 63
- 2θ = 28.99°, I 100
- 2θ = 31.22°, I 36
- 2θ = 34.73°, I 55
- 2θ = 38.22°, I 29
- 2θ = 47.39°, I 46

***

- What is the formula in the third record?
  La2Bi3Rh4